# 1
Starting from a crystal structure in Alexandria, relaxed with PBE, the powder XRD pattern of Rb6Hg23Bi was simulated for λ = 1.5418 Å (Cu Kα).

Principal peaks in the range 15 to 90 degrees two-theta, in order of rising 2θ:
- 29.16 deg, rel. 24
- 31.82 deg, rel. 100
- 33.31 deg, rel. 17
- 37.05 deg, rel. 13
- 37.49 deg, rel. 19
- 55.06 deg, rel. 13
- 56.68 deg, rel. 26
- 57.64 deg, rel. 11

Crystal structure
Unit cell a=11.251 b=11.251 c=11.251 alpha=60.00 beta=60.00 gamma=60.00
Element x y z (fractional)
Rb1 0.225 0.225 0.775
Rb2 0.225 0.775 0.225
Rb3 0.225 0.775 0.775
Rb4 0.775 0.225 0.225
Rb5 0.775 0.225 0.775
Rb6 0.775 0.775 0.225
Hg1 0.000 0.000 0.500
Hg2 0.000 0.500 0.000
Hg3 0.000 0.500 0.500
Hg4 0.133 0.622 0.622
Hg5 0.166 0.166 0.166
Hg6 0.166 0.166 0.503
Hg7 0.166 0.503 0.166
Hg8 0.378 0.378 0.378
Hg9 0.378 0.378 0.867
Hg10 0.378 0.867 0.378
Hg11 0.497 0.834 0.834
Hg12 0.500 0.000 0.000
Hg13 0.500 0.000 0.500
Hg14 0.500 0.500 0.000
Hg15 0.500 0.500 0.500
Hg16 0.503 0.166 0.166
Hg17 0.622 0.133 0.622
Hg18 0.622 0.622 0.133
Hg19 0.622 0.622 0.622
Hg20 0.834 0.497 0.834
Hg21 0.834 0.834 0.497
Hg22 0.834 0.834 0.834
Hg23 0.867 0.378 0.378
Bi1 0.000 0.000 0.000

# 2
Starting from a crystal structure in Alexandria, relaxed with PBE, the powder XRD pattern of CaTb2CeP4 was simulated for λ = 1.5418 Å (Cu Kα).

Principal peaks in the range 15 to 90 degrees two-theta, in order of rising 2θ:
- 26.83 deg, rel. 77
- 26.93 deg, rel. 25
- 31.02 deg, rel. 100
- 31.27 deg, rel. 49
- 44.48 deg, rel. 72
- 44.73 deg, rel. 35
- 55.35 deg, rel. 19
- 73.44 deg, rel. 24

Crystal structure
Unit cell a=7.005 b=4.077 c=7.046 alpha=90.00 beta=109.03 gamma=90.00
Element x y z (fractional)
Ca1 0.000 0.000 0.000
Tb1 0.000 0.500 0.500
Tb2 0.500 0.000 0.500
Ce1 0.500 0.500 0.000
P1 0.254 0.000 0.748
P2 0.260 0.500 0.254
P3 0.740 0.500 0.746
P4 0.746 0.000 0.252

# 3
Starting from a crystal structure in Alexandria, relaxed with PBE, the powder XRD pattern of Sc6Al3Tl was simulated for λ = 1.5418 Å (Cu Kα).

Principal peaks in the range 15 to 90 degrees two-theta, in order of rising 2θ:
- 15.50 deg, rel. 22
- 21.85 deg, rel. 20
- 25.49 deg, rel. 23
- 27.77 deg, rel. 18
- 36.13 deg, rel. 100
- 36.45 deg, rel. 73
- 37.23 deg, rel. 48
- 52.80 deg, rel. 22

Crystal structure
Unit cell a=8.689 b=4.831 c=10.533 alpha=90.00 beta=105.99 gamma=90.00
Element x y z (fractional)
Sc1 0.050 0.250 0.416
Sc2 0.150 0.750 0.182
Sc3 0.235 0.250 0.993
Sc4 0.322 0.750 0.787
Sc5 0.365 0.250 0.322
Sc6 0.402 0.250 0.611
Sc7 0.598 0.750 0.389
Sc8 0.635 0.750 0.678
Sc9 0.678 0.250 0.213
Sc10 0.765 0.750 0.007
Sc11 0.850 0.250 0.818
Sc12 0.950 0.750 0.584
Al1 0.031 0.750 0.880
Al2 0.117 0.250 0.707
Al3 0.275 0.750 0.475
Al4 0.725 0.250 0.525
Al5 0.883 0.750 0.293
Al6 0.969 0.250 0.120
Tl1 0.449 0.750 0.106
Tl2 0.551 0.250 0.894